Simulated PXRD pattern
Compound: PdAuCl4
Radiation: Cu Kα X-rays
Structure: a crystal structure in Alexandria, relaxed with GGA-PBE

Most intense lines, 10 to 90 degrees two-theta, most intense first:
(0 2 1), 2θ 19.1, I 100; (0 0 2), 2θ 28.5, I 98; (1 3 0), 2θ 23.5, I 78; (1 1 -1), 2θ 15.5, I 70; (1 3 2), 2θ 42.2, I 68; (0 2 0), 2θ 12.8, I 66; (1 5 2), 2θ 50.1, I 65; (1 5 0), 2θ 35.2, I 46; (2 2 -1), 2θ 27.1, I 45; (1 3 -1), 2θ 24.0, I 40

Crystal structure
Cell lengths 7.508, 13.815, 7.102 Å; angles 90.00, 118.26, 90.00 degrees
Space group C2/c (No. 15)
Asymmetric unit:
Pd 0.000 0.000 0.250 x4
Au 0.000 0.384 0.250 x4
Cl 0.245 0.121 0.873 x8
Cl 0.246 0.120 0.370 x8


Simulated PXRD pattern
Compound: Pr3AuCl3
Radiation: Cu Kα X-rays
Structure: a crystal structure in Alexandria, relaxed with GGA-PBE

Most intense lines, 10 to 90 degrees two-theta, most intense first:
(1 1 0), 2θ 10.4, I 100; (4 0 0), 2θ 29.8, I 99; (4 4 0), 2θ 42.6, I 73; (8 4 0), 2θ 70.1, I 32; (5 1 0), 2θ 38.2, I 27; (3 1 0), 2θ 23.4, I 27; (4 4 4), 2θ 52.9, I 25; (8 4 4), 2θ 78.0, I 24; (4 1 1), 2θ 31.6, I 21; (5 5 0), 2θ 54.0, I 12

Crystal structure
Cell lengths 12.001, 12.001, 12.001 Å; angles 90.00, 90.00, 90.00 degrees
Space group I4_132 (No. 214)
Asymmetric unit:
Pr 0.120 0.370 0.125 x24
Au 0.125 0.125 0.125 x8
Cl 0.125 0.125 0.625 x24


Simulated PXRD pattern
Compound: Pr6Si2AuCl3
Radiation: Cu Kα X-rays
Structure: a crystal structure in Alexandria, relaxed with GGA-PBE

Most intense lines, 10 to 90 degrees two-theta, most intense first:
(6 0 0), 2θ 29.5, I 100; (5 1 2), 2θ 41.8, I 26; (7 1 -2), 2θ 42.7, I 23; (3 1 0), 2θ 25.5, I 15; (6 2 0), 2θ 52.4, I 13; (0 2 0), 2θ 42.3, I 13; (2 0 -4), 2θ 42.1, I 12; (2 0 -1), 2θ 12.8, I 8; (2 0 2), 2θ 25.1, I 8; (2 2 -4), 2θ 61.2, I 8

Crystal structure
Cell lengths 18.506, 4.275, 8.590 Å; angles 90.00, 101.61, 90.00 degrees
Space group C2/m (No. 12)
Asymmetric unit:
Pr 0.005 0.000 0.248 x4
Pr 0.167 0.500 0.102 x4
Pr 0.171 0.500 0.574 x4
Si 0.166 0.000 0.336 x4
Au 0.000 0.500 0.000 x2
Cl 0.000 0.500 0.500 x2
Cl 0.169 0.000 0.835 x4


Simulated PXRD pattern
Compound: PtAu2Cl8
Radiation: Cu Kα X-rays
Structure: a crystal structure in Alexandria, relaxed with GGA-PBE

Most intense lines, 10 to 90 degrees two-theta, most intense first:
(1 1 -2), 2θ 29.5, I 100; (1 1 -1), 2θ 18.6, I 79; (0 2 0), 2θ 22.0, I 77; (2 0 1), 2θ 22.7, I 67; (0 0 1), 2θ 13.4, I 65; (1 3 -2), 2θ 43.6, I 62; (5 1 0), 2θ 44.3, I 45; (5 3 0), 2θ 55.3, I 38; (0 4 0), 2θ 44.9, I 28; (2 0 0), 2θ 16.8, I 27

Crystal structure
Cell lengths 10.639, 8.070, 6.669 Å; angles 90.00, 96.61, 90.00 degrees
Space group C2/m (No. 12)
Asymmetric unit:
Pt 0.000 0.000 0.000 x2
Au 0.110 0.500 0.789 x4
Cl 0.109 0.196 0.804 x8
Cl 0.111 0.500 0.266 x4
Cl 0.169 0.000 0.263 x4